Structure and theoretical powder XRD pattern of MoAs2Cl (a crystal structure in Alexandria, relaxed with GGA-PBE; λ = 1.5418 Å (Cu Kα)).
No peak broadening, texture or thermal motion is included.

```
data_MoAs2Cl
_chemical_formula_sum 'Mo3 As6 Cl3'
_symmetry_space_group_name_H-M 'R -3 m'
_symmetry_Int_Tables_number 166
_symmetry_space_group_name_Hall '-R 3 2"'
_cell_length_a 3.3066
_cell_length_b 3.3066
_cell_length_c 23.6848
_cell_angle_alpha 90.00
_cell_angle_beta 90.00
_cell_angle_gamma 120.00
loop_
_atom_site_label
_atom_site_type_symbol
_atom_site_fract_x
_atom_site_fract_y
_atom_site_fract_z
_atom_site_occupancy
Mo1 Mo 0.0000 0.0000 0.0000 1
As1 As 0.0000 0.0000 0.2608 1
Cl1 Cl 0.0000 0.0000 0.5000 1
```

Peak list (12 most intense, 2θ from 15° to 90°, by angle)
hkl 1 0 4, 34.8°, rel. 100
hkl 1 0 7, 41.3°, rel. 14
hkl 0 1 8, 44.0°, rel. 45
hkl 0 0 12, 46.0°, rel. 11
hkl 0 1 11, 53.2°, rel. 10
hkl 1 1 0, 55.6°, rel. 26
hkl 1 1 3, 56.9°, rel. 5
hkl 0 2 4, 67.3°, rel. 14
hkl 1 0 16, 71.8°, rel. 6
hkl 2 0 8, 73.5°, rel. 9
hkl 1 1 12, 74.9°, rel. 14
hkl 1 1 15, 84.9°, rel. 7